# 1
Diffraction record for TmBi2TeO8. The PXRD pattern is computed, not measured: it uses a crystal structure in Alexandria, relaxed with PBE and Cu Kα.
Kinematic intensities with the Lorentz-polarization factor, no thermal factor.

Principal peaks in the range 2θ from 15° to 90°, sorted by position:
d [Å], I_rel, hkl
3.628, 100, 1 0 -1
2.841, 89, 1 2 0
2.565, 28, 0 0 2
1.904, 70, 2 2 -1
1.814, 17, 2 0 2
1.622, 18, 1 0 3
1.544, 17, 1 4 -1
1.529, 20, 0 2 3
1.176, 13, 3 4 1
1.169, 14, 4 2 1

Cell: 5.130 6.825 5.131 Å, 90.00 90.08 90.00°
Space group P2/m (No. 10)
Symmetry-distinct sites (fractional):
Tm 0.000 0.000 0.000
Bi 0.500 0.252 0.500
Te 0.000 0.500 0.000
O 0.178 0.278 0.823
O 0.267 0.500 0.269
O 0.306 0.000 0.307

---

# 2
Diffraction record for AcWN4. The PXRD pattern is computed, not measured: it uses a crystal structure in Alexandria, relaxed with PBE and Cu Kα.
Kinematic intensities with the Lorentz-polarization factor, no thermal factor.

Principal peaks in the range 2θ from 15° to 90°, sorted by position:
d [Å], I_rel, hkl
3.255, 53, 1 0 -1
3.122, 100, 0 1 1
3.083, 50, 1 0 1
2.965, 67, 1 1 0
2.375, 22, 0 0 2
2.123, 24, 2 0 0
2.071, 21, 0 2 0
1.889, 24, 1 1 -2
1.820, 20, 1 1 2
1.727, 19, 2 1 1

Cell: 4.252 4.142 4.758 Å, 90.00 93.13 90.00°
Space group Pm (No. 6)
Symmetry-distinct sites (fractional):
Ac 0.000 0.000 0.000
W 0.539 0.500 0.446
N 0.072 0.500 0.411
N 0.453 0.000 0.638
N 0.573 0.000 0.375
N 0.941 0.500 0.673

---

# 3
Diffraction record for NdDyS3. The PXRD pattern is computed, not measured: it uses a crystal structure in Alexandria, relaxed with PBE and Cu Kα.
Kinematic intensities with the Lorentz-polarization factor, no thermal factor.

Principal peaks in the range 2θ from 15° to 90°, sorted by position:
d [Å], I_rel, hkl
3.924, 54, 2 0 0
3.627, 62, 1 0 -2
3.541, 96, 1 1 0
3.405, 45, 1 0 2
2.791, 100, 0 1 2
2.337, 29, 2 1 -2
2.216, 44, 2 1 2
2.141, 38, 3 1 -1
1.984, 26, 0 2 0
1.964, 37, 0 0 4

Cell: 7.871 3.968 7.876 Å, 90.00 94.51 90.00°
Space group P2_1/m (No. 11)
Symmetry-distinct sites (fractional):
Nd 0.230 0.250 0.378
Dy 0.323 0.250 0.853
S 0.023 0.250 0.681
S 0.321 0.750 0.098
S 0.387 0.750 0.626